Calculated powder diffraction line list of Ac3Ga4Ge for Cu Kα (weighted mean of Kα1 and Kα2), from a crystal structure in Alexandria, relaxed with PBE.

Cell and atoms:
```
Ac3Ga4Ge
1.0
4.929 0.000 0.000
0.000 6.304 0.000
0.000 0.000 15.402
Ac Ga Ge
6 8 2
Direct
0.000 0.000 0.000
0.000 0.500 0.191
0.000 0.500 0.809
0.500 0.000 0.309
0.500 0.000 0.691
0.500 0.500 0.500
0.000 0.293 0.380
0.000 0.293 0.620
0.000 0.707 0.380
0.000 0.707 0.620
0.500 0.207 0.120
0.500 0.207 0.880
0.500 0.793 0.120
0.500 0.793 0.880
0.000 0.000 0.500
0.500 0.500 0.000
```

The 8 most intense peaks (2θ from 15° to 90°), by intensity:
d [Å]	two_theta	I/Imax
3.467	25.69	100
2.614	34.30	72
3.981	22.33	44
2.465	36.46	29
1.875	48.56	20
1.944	46.74	19
2.439	36.85	18
2.095	43.17	17



Calculated powder diffraction line list of Er2Ga9Pd3 for Cu Kα (weighted mean of Kα1 and Kα2), from a crystal structure in Alexandria, relaxed with PBE.

Cell and atoms:
```
Er2Ga9Pd3
1.0
6.647 -3.843 0.000
6.647 3.843 0.000
-4.417 0.000 9.565
Er Ga Pd
4 18 6
Direct
0.084 0.251 0.251
0.251 0.084 0.751
0.749 0.916 0.249
0.916 0.749 0.749
0.024 0.861 0.078
0.139 0.976 0.422
0.192 0.359 0.579
0.211 0.582 0.251
0.306 0.477 0.928
0.359 0.192 0.079
0.375 0.625 0.750
0.418 0.789 0.249
0.477 0.306 0.428
0.523 0.694 0.572
0.582 0.211 0.751
0.625 0.375 0.250
0.641 0.808 0.921
0.694 0.523 0.072
0.789 0.418 0.749
0.808 0.641 0.421
0.861 0.024 0.578
0.976 0.139 0.922
0.000 0.500 0.000
0.161 0.669 0.500
0.331 0.839 0.000
0.500 0.000 0.500
0.669 0.161 0.000
0.839 0.331 0.500
```

The 8 most intense peaks (2θ from 15° to 90°), by intensity:
d [Å]	two_theta	I/Imax
2.453	36.63	100
2.217	40.69	87
1.321	71.38	28
2.995	29.84	24
2.391	37.61	17
1.645	55.89	16
1.782	51.27	15
1.472	63.15	15



Calculated powder diffraction line list of YIn9Pd2 for Cu Kα (weighted mean of Kα1 and Kα2), from a crystal structure in Alexandria, relaxed with PBE.

Cell and atoms:
```
YIn9Pd2
1.0
-6.397 6.397 3.527
6.397 -6.397 3.527
6.397 6.397 -3.527
Y In Pd
2 18 4
Direct
0.375 0.625 0.750
0.625 0.375 0.250
0.090 0.542 0.306
0.090 0.784 0.548
0.125 0.875 0.250
0.216 0.264 0.306
0.216 0.910 0.952
0.264 0.216 0.806
0.264 0.458 0.048
0.458 0.264 0.548
0.458 0.910 0.194
0.542 0.090 0.806
0.542 0.736 0.452
0.736 0.542 0.952
0.736 0.784 0.194
0.784 0.090 0.048
0.784 0.736 0.694
0.875 0.125 0.750
0.910 0.216 0.452
0.910 0.458 0.694
0.000 0.000 0.000
0.000 0.000 0.500
0.000 0.500 0.000
0.500 0.000 0.500
```

The 8 most intense peaks (2θ from 15° to 90°), by intensity:
d [Å]	two_theta	I/Imax
2.659	33.71	100
2.406	37.38	81
2.861	31.26	37
2.222	40.60	19
2.262	39.86	18
3.170	28.15	18
2.175	41.52	16
2.313	38.94	15



Calculated powder diffraction line list of PrYNiRh for Cu Kα (weighted mean of Kα1 and Kα2), from a crystal structure in Alexandria, relaxed with PBE.

Cell and atoms:
```
PrYNiRh
1.0
4.138 0.000 0.000
0.000 3.926 0.000
0.000 0.000 10.877
Pr Y Ni Rh
2 2 2 2
Direct
0.000 0.000 0.000
0.000 0.500 0.500
0.500 0.000 0.719
0.500 0.500 0.219
0.500 0.000 0.431
0.500 0.500 0.931
0.000 0.000 0.277
0.000 0.500 0.777
```

The 8 most intense peaks (2θ from 15° to 90°), by intensity:
d [Å]	two_theta	I/Imax
2.755	32.50	100
2.240	40.27	64
2.664	33.65	35
2.719	32.94	29
2.272	39.66	28
2.069	43.76	26
1.963	46.25	22
1.634	56.31	16